# 1
Diffraction record for Cu2Ni21P6. The XRD peak list is simulated, not measured: it uses a cell relaxed with GGA-PBE and CuKα.
Kinematic intensities with the Lorentz-polarization factor, no thermal factor.

Cell and atoms:
```
data_Cu2Ni21P6
_cell_length_a 10.9992
_cell_length_b 10.9992
_cell_length_c 10.9992
_cell_angle_alpha 90.00
_cell_angle_beta 90.00
_cell_angle_gamma 90.00
_space_group_name_H-M_alt 'F m -3 m'
_space_group_IT_number 225
_space_group_name_Hall '-F 4 2 3'
loop_
_atom_site_label
_atom_site_type_symbol
_atom_site_fract_x
_atom_site_fract_y
_atom_site_fract_z
_atom_site_occupancy
Cu1 Cu 0.2500 0.2500 0.2500 1
Ni1 Ni 0.0000 0.0000 0.0000 1
Ni2 Ni 0.0000 0.1731 0.1731 1
Ni3 Ni 0.1192 0.1192 0.3808 1
P1 P 0.0000 0.0000 0.2664 1
```

Peak list (10 most intense, 2θ from 5° to 70°, by angle)
2θ 22.87, I = 22; 2θ 26.88, I = 25; 2θ 36.53, I = 163; 2θ 40.16, I = 227; 2θ 42.72, I = 1000; 2θ 46.72, I = 358; 2θ 48.99, I = 300; 2θ 49.74, I = 142; 2θ 55.41, I = 153; 2θ 68.21, I = 53

***

# 2
Diffraction record for Pa3CuNi4. The XRD peak list is simulated, not measured: it uses a cell relaxed with GGA-PBE and CuKα.
Kinematic intensities with the Lorentz-polarization factor, no thermal factor.

Cell and atoms:
```
data_Pa3CuNi4
_cell_length_a 4.3775
_cell_length_b 3.4422
_cell_length_c 9.2370
_cell_angle_alpha 90.00
_cell_angle_beta 93.78
_cell_angle_gamma 90.00
_space_group_name_H-M_alt 'P 1 2/m 1'
_space_group_IT_number 10
loop_
_space_group_symop_operation_xyz
'x,y,z'
'-x,-y,-z'
'-x,y,-z'
'x,-y,z'
loop_
_atom_site_label
_atom_site_type_symbol
_atom_site_fract_x
_atom_site_fract_y
_atom_site_fract_z
_atom_site_occupancy
Pa1 Pa 0.0000 0.0000 0.0000 1
Pa2 Pa 0.1883 0.5000 0.3209 1
Cu1 Cu 0.5000 0.5000 0.0000 1
Ni1 Ni 0.2568 0.0000 0.5562 1
Ni2 Ni 0.3863 0.0000 0.8095 1
```

Peak list (10 most intense, 2θ from 5° to 70°, by angle)
2θ 21.94, I = 201; 2θ 29.07, I = 542; 2θ 32.47, I = 338; 2θ 34.97, I = 1000; 2θ 36.86, I = 212; 2θ 37.89, I = 771; 2θ 39.31, I = 236; 2θ 41.88, I = 408; 2θ 43.16, I = 224; 2θ 53.24, I = 338

***

# 3
Diffraction record for Pa2CuNi2. The XRD peak list is simulated, not measured: it uses a cell relaxed with GGA-PBE and CuKα.
Kinematic intensities with the Lorentz-polarization factor, no thermal factor.

Cell and atoms:
```
data_Pa2CuNi2
_cell_length_a 7.0900
_cell_length_b 7.0900
_cell_length_c 7.2093
_cell_angle_alpha 90.00
_cell_angle_beta 90.00
_cell_angle_gamma 90.00
_space_group_name_H-M_alt 'P 4/m n c'
_space_group_IT_number 128
_space_group_name_Hall '-P 4 2n'
loop_
_atom_site_label
_atom_site_type_symbol
_atom_site_fract_x
_atom_site_fract_y
_atom_site_fract_z
_atom_site_occupancy
Pa1 Pa 0.1753 0.3214 0.0000 1
Cu1 Cu 0.0000 0.0000 0.2667 1
Ni1 Ni 0.1281 0.6281 0.2500 1
```

Peak list (10 most intense, 2θ from 5° to 70°, by angle)
2θ 24.70, I = 132; 2θ 25.12, I = 180; 2θ 28.14, I = 317; 2θ 35.52, I = 389; 2θ 37.79, I = 1000; 2θ 40.22, I = 270; 2θ 50.65, I = 130; 2θ 53.27, I = 163; 2θ 59.57, I = 251; 2θ 61.13, I = 136

***

# 4
Diffraction record for PaCu6Ni6. The XRD peak list is simulated, not measured: it uses a cell relaxed with GGA-PBE and CuKα.
Kinematic intensities with the Lorentz-polarization factor, no thermal factor.

Cell and atoms:
```
data_PaCu6Ni6
_cell_length_a 4.7681
_cell_length_b 8.2699
_cell_length_c 8.3204
_cell_angle_alpha 90.00
_cell_angle_beta 90.00
_cell_angle_gamma 90.00
_space_group_name_H-M_alt 'I m m m'
_space_group_IT_number 71
_space_group_name_Hall '-I 2 2'
loop_
_atom_site_label
_atom_site_type_symbol
_atom_site_fract_x
_atom_site_fract_y
_atom_site_fract_z
_atom_site_occupancy
Pa1 Pa 0.0000 0.0000 0.0000 1
Cu1 Cu 0.0000 0.0000 0.3553 1
Cu2 Cu 0.0000 0.3512 0.0000 1
Cu3 Cu 0.0000 0.5000 0.2763 1
Ni1 Ni 0.0000 0.2925 0.5000 1
Ni2 Ni 0.2500 0.2500 0.2500 1
```

Peak list (10 most intense, 2θ from 5° to 70°, by angle)
2θ 15.10, I = 164; 2θ 21.49, I = 172; 2θ 30.52, I = 453; 2θ 37.52, I = 261; 2θ 37.71, I = 470; 2θ 43.51, I = 258; 2θ 43.69, I = 1000; 2θ 43.80, I = 894; 2θ 49.25, I = 191; 2θ 63.46, I = 117

***

# 5
Diffraction record for PaCu2NiS4. The XRD peak list is simulated, not measured: it uses a cell relaxed with GGA-PBE and CuKα.
Kinematic intensities with the Lorentz-polarization factor, no thermal factor.

Cell and atoms:
```
data_PaCu2NiS4
_cell_length_a 7.9771
_cell_length_b 6.8754
_cell_length_c 5.7005
_cell_angle_alpha 90.00
_cell_angle_beta 90.00
_cell_angle_gamma 90.00
_space_group_name_H-M_alt 'P m n 21'
_space_group_IT_number 31
loop_
_space_group_symop_operation_xyz
'x,y,z'
'-x+1/2,-y,z+1/2'
'-x,y,z'
'x+1/2,-y,z+1/2'
loop_
_atom_site_label
_atom_site_type_symbol
_atom_site_fract_x
_atom_site_fract_y
_atom_site_fract_z
_atom_site_occupancy
Pa1 Pa 0.0000 0.1562 0.0000 1
Cu1 Cu 0.2418 0.3326 0.6008 1
Ni1 Ni 0.0000 0.8487 0.5890 1
S1 S 0.0000 0.1654 0.5045 1
S2 S 0.0000 0.7811 0.9705 1
S3 S 0.2203 0.6579 0.4942 1
```

Peak list (10 most intense, 2θ from 5° to 70°, by angle)
2θ 17.03, I = 308; 2θ 19.14, I = 381; 2θ 20.24, I = 253; 2θ 25.85, I = 926; 2θ 30.31, I = 1000; 2θ 31.38, I = 513; 2θ 41.09, I = 351; 2θ 45.48, I = 246; 2θ 45.66, I = 473; 2θ 56.45, I = 353

***

# 6
Diffraction record for Cu5Ni2Pd. The XRD peak list is simulated, not measured: it uses a cell relaxed with GGA-PBE and CuKα.
Kinematic intensities with the Lorentz-polarization factor, no thermal factor.

Cell and atoms:
```
data_Cu5Ni2Pd
_cell_length_a 8.1436
_cell_length_b 3.6392
_cell_length_c 7.3086
_cell_angle_alpha 90.00
_cell_angle_beta 116.63
_cell_angle_gamma 90.00
_space_group_name_H-M_alt 'C 1 2/m 1'
_space_group_IT_number 12
loop_
_space_group_symop_operation_xyz
'x,y,z'
'-x,-y,-z'
'-x,y,-z'
'x,-y,z'
'x+1/2,y+1/2,z'
'-x+1/2,-y+1/2,-z'
'-x+1/2,y+1/2,-z'
'x+1/2,-y+1/2,z'
loop_
_atom_site_label
_atom_site_type_symbol
_atom_site_fract_x
_atom_site_fract_y
_atom_site_fract_z
_atom_site_occupancy
Cu1 Cu 0.0000 0.0000 0.0000 1
Cu2 Cu 0.2466 0.0000 0.3677 1
Cu3 Cu 0.2482 0.5000 0.1198 1
Ni1 Ni 0.0004 0.5000 0.2416 1
Pd1 Pd 0.0000 0.0000 0.5000 1
```

Peak list (9 most intense, 2θ from 5° to 70°, by angle)
2θ 13.55, I = 9; 2θ 27.36, I = 23; 2θ 28.07, I = 8; 2θ 33.11, I = 13; 2θ 37.43, I = 6; 2θ 42.99, I = 1000; 2θ 44.86, I = 6; 2θ 49.91, I = 156; 2θ 50.13, I = 313